Theoretical powder diffractogram of ZnCu2W2O8 for λ = 1.5418 Å (Cu Kα), from DFT lattice parameters and positions (GGA+U).

Structure:
```
data_ZnCu2W2O8
_chemical_formula_sum 'Zn4 Cu8 W8 O32'
_symmetry_space_group_name_H-M 'P 1'
_symmetry_Int_Tables_number 1
_cell_length_a 6.5445
_cell_length_b 8.8094
_cell_length_c 12.9382
_cell_angle_alpha 90.00
_cell_angle_beta 92.62
_cell_angle_gamma 90.00
loop_
_symmetry_equiv_pos_as_xyz
'x,y,z'
loop_
_atom_site_label
_atom_site_type_symbol
_atom_site_fract_x
_atom_site_fract_y
_atom_site_fract_z
_atom_site_occupancy
Zn1 Zn 0.1040 0.1680 0.0559 1
Zn2 Zn 0.1040 0.3320 0.5559 1
Zn3 Zn 0.8960 0.6680 0.4441 1
Zn4 Zn 0.8960 0.8320 0.9441 1
Cu1 Cu 0.2305 0.6851 0.6357 1
Cu2 Cu 0.2305 0.8149 0.1357 1
Cu3 Cu 0.3745 0.0487 0.6132 1
Cu4 Cu 0.3745 0.4513 0.1132 1
Cu5 Cu 0.6255 0.5487 0.8868 1
Cu6 Cu 0.6255 0.9513 0.3868 1
Cu7 Cu 0.7695 0.1851 0.8643 1
Cu8 Cu 0.7695 0.3149 0.3643 1
W1 W 0.0945 0.0480 0.3449 1
W2 W 0.0945 0.4520 0.8449 1
W3 W 0.3882 0.5769 0.3708 1
W4 W 0.3882 0.9231 0.8708 1
W5 W 0.6118 0.0769 0.1292 1
W6 W 0.6118 0.4231 0.6292 1
W7 W 0.9055 0.5480 0.1551 1
W8 W 0.9055 0.9520 0.6551 1
O1 O 0.0442 0.2362 0.4034 1
O2 O 0.0442 0.2638 0.9034 1
O3 O 0.0840 0.1029 0.6134 1
O4 O 0.0840 0.3971 0.1134 1
O5 O 0.1202 0.0515 0.2054 1
O6 O 0.1202 0.4485 0.7054 1
O7 O 0.1768 0.5748 0.4623 1
O8 O 0.1768 0.9252 0.9623 1
O9 O 0.2945 0.6317 0.2415 1
O10 O 0.2945 0.8683 0.7415 1
O11 O 0.3422 0.5098 0.8977 1
O12 O 0.3422 0.9902 0.3977 1
O13 O 0.4057 0.2038 0.0818 1
O14 O 0.4057 0.2962 0.5818 1
O15 O 0.4922 0.1114 0.8636 1
O16 O 0.4922 0.3886 0.3636 1
O17 O 0.5078 0.6114 0.6364 1
O18 O 0.5078 0.8886 0.1364 1
O19 O 0.5943 0.7038 0.4182 1
O20 O 0.5943 0.7962 0.9182 1
O21 O 0.6578 0.0098 0.6023 1
O22 O 0.6578 0.4902 0.1023 1
O23 O 0.7055 0.1317 0.2585 1
O24 O 0.7055 0.3683 0.7585 1
O25 O 0.8232 0.0748 0.0377 1
O26 O 0.8232 0.4252 0.5377 1
O27 O 0.8798 0.5515 0.2946 1
O28 O 0.8798 0.9485 0.7946 1
O29 O 0.9160 0.6029 0.8866 1
O30 O 0.9160 0.8971 0.3866 1
O31 O 0.9558 0.7362 0.0966 1
O32 O 0.9558 0.7638 0.5966 1
```

Principal peaks in the range 15° ≤ 2θ ≤ 90°, by angle:
Position (°2θ)	intensity
20.16	56
21.35	79
26.27	34
27.26	74
27.61	100
27.74	58
29.67	61
30.26	92
35.18	37
36.54	38

***

Theoretical powder diffractogram of Zn2CuWO6 for λ = 1.5418 Å (Cu Kα), from DFT lattice parameters and positions (GGA+U).

Structure:
```
data_Zn2CuWO6
_chemical_formula_sum 'Zn2 Cu1 W1 O6'
_symmetry_space_group_name_H-M 'P 1'
_symmetry_Int_Tables_number 1
_cell_length_a 4.9906
_cell_length_b 5.3771
_cell_length_c 5.4258
_cell_angle_alpha 65.06
_cell_angle_beta 63.88
_cell_angle_gamma 89.82
loop_
_symmetry_equiv_pos_as_xyz
'x,y,z'
loop_
_atom_site_label
_atom_site_type_symbol
_atom_site_fract_x
_atom_site_fract_y
_atom_site_fract_z
_atom_site_occupancy
Zn1 Zn 0.0000 0.0000 0.0000 1
Zn2 Zn 0.4420 0.5229 0.0076 1
Cu1 Cu 0.2483 0.8589 0.4541 1
W1 W 0.7386 0.3612 0.4589 1
O1 O 0.0360 0.1546 0.2818 1
O2 O 0.1265 0.6641 0.2753 1
O3 O 0.3874 0.1078 0.5781 1
O4 O 0.4847 0.6025 0.6034 1
O5 O 0.7315 0.1976 0.8458 1
O6 O 0.7949 0.6114 0.0464 1
```

Principal peaks in the range 15° ≤ 2θ ≤ 90°, by angle:
Position (°2θ)	intensity
20.34	41
20.81	30
24.39	47
30.76	82
31.42	64
32.88	67
33.48	100
36.01	37
41.97	34
49.98	39

***

Theoretical powder diffractogram of ZnCuW2O8 for λ = 1.5418 Å (Cu Kα), from DFT lattice parameters and positions (GGA+U).

Structure:
```
data_ZnCuW2O8
_chemical_formula_sum 'Zn1 Cu1 W2 O8'
_symmetry_space_group_name_H-M 'P 1'
_symmetry_Int_Tables_number 1
_cell_length_a 4.7452
_cell_length_b 5.0109
_cell_length_c 5.8829
_cell_angle_alpha 88.35
_cell_angle_beta 86.01
_cell_angle_gamma 87.15
loop_
_symmetry_equiv_pos_as_xyz
'x,y,z'
loop_
_atom_site_label
_atom_site_type_symbol
_atom_site_fract_x
_atom_site_fract_y
_atom_site_fract_z
_atom_site_occupancy
Zn1 Zn 0.0000 0.0000 0.0000 1
Cu1 Cu 0.0096 0.5057 0.3371 1
W1 W 0.5078 0.0164 0.5072 1
W2 W 0.5143 0.5108 0.8489 1
O1 O 0.2455 0.6588 0.0630 1
O2 O 0.2553 0.1763 0.3170 1
O3 O 0.2967 0.1973 0.7899 1
O4 O 0.2999 0.7080 0.5866 1
O5 O 0.7292 0.8247 0.7840 1
O6 O 0.7314 0.3314 0.5608 1
O7 O 0.7602 0.3417 0.0358 1
O8 O 0.7764 0.8478 0.3059 1
```

Principal peaks in the range 15° ≤ 2θ ≤ 90°, by angle:
Position (°2θ)	intensity
18.77	68
23.07	32
23.34	47
24.98	47
28.65	94
30.25	78
30.49	100
31.11	67
35.07	39
35.89	78

***

Theoretical powder diffractogram of Zn2CuWO6 for λ = 1.5418 Å (Cu Kα), from DFT lattice parameters and positions (GGA+U).

Structure:
```
data_Zn2CuWO6
_chemical_formula_sum 'Zn4 Cu2 W2 O12'
_symmetry_space_group_name_H-M 'P 1'
_symmetry_Int_Tables_number 1
_cell_length_a 5.0486
_cell_length_b 5.1215
_cell_length_c 9.8571
_cell_angle_alpha 90.00
_cell_angle_beta 119.95
_cell_angle_gamma 90.00
loop_
_symmetry_equiv_pos_as_xyz
'x,y,z'
loop_
_atom_site_label
_atom_site_type_symbol
_atom_site_fract_x
_atom_site_fract_y
_atom_site_fract_z
_atom_site_occupancy
Zn1 Zn 0.2411 0.0252 0.2366 1
Zn2 Zn 0.2411 0.4748 0.7366 1
Zn3 Zn 0.7589 0.5252 0.2634 1
Zn4 Zn 0.7589 0.9748 0.7634 1
Cu1 Cu 0.0000 0.0000 0.5000 1
Cu2 Cu 0.0000 0.5000 0.0000 1
W1 W 0.5000 0.0000 0.0000 1
W2 W 0.5000 0.5000 0.5000 1
O1 O 0.1641 0.1136 0.7983 1
O2 O 0.1641 0.3864 0.2983 1
O3 O 0.2258 0.6870 0.5480 1
O4 O 0.2258 0.8130 0.0480 1
O5 O 0.4224 0.1951 0.6000 1
O6 O 0.4224 0.3049 0.1000 1
O7 O 0.5776 0.6951 0.9000 1
O8 O 0.5776 0.8049 0.4000 1
O9 O 0.7742 0.1870 0.9520 1
O10 O 0.7742 0.3130 0.4520 1
O11 O 0.8359 0.6136 0.7017 1
O12 O 0.8359 0.8864 0.2017 1
```

Principal peaks in the range 15° ≤ 2θ ≤ 90°, by angle:
Position (°2θ)	intensity
20.24	54
24.76	18
32.38	89
32.73	100
35.04	33
35.57	33
42.33	24
50.79	33
56.05	34
61.19	18

***

Theoretical powder diffractogram of NaEuDyFeO6 for λ = 1.5418 Å (Cu Kα), from DFT lattice parameters and positions (GGA+U).

Structure:
```
data_NaEuDyFeO6
_chemical_formula_sum 'Na1 Eu1 Dy1 Fe1 O6'
_symmetry_space_group_name_H-M 'P 1'
_symmetry_Int_Tables_number 1
_cell_length_a 5.6895
_cell_length_b 5.6895
_cell_length_c 5.6895
_cell_angle_alpha 60.00
_cell_angle_beta 60.00
_cell_angle_gamma 60.00
loop_
_symmetry_equiv_pos_as_xyz
'x,y,z'
loop_
_atom_site_label
_atom_site_type_symbol
_atom_site_fract_x
_atom_site_fract_y
_atom_site_fract_z
_atom_site_occupancy
Na1 Na 0.0000 0.0000 0.0000 1
Eu1 Eu 0.5000 0.5000 0.5000 1
Dy1 Dy 0.2500 0.2500 0.2500 1
Fe1 Fe 0.7500 0.7500 0.7500 1
O1 O 0.5199 0.5199 0.9801 1
O2 O 0.5199 0.9801 0.5199 1
O3 O 0.5199 0.9801 0.9801 1
O4 O 0.9801 0.5199 0.5199 1
O5 O 0.9801 0.5199 0.9801 1
O6 O 0.9801 0.9801 0.5199 1
```

Principal peaks in the range 15° ≤ 2θ ≤ 90°, by angle:
Position (°2θ)	intensity
19.10	40
31.45	100
37.06	27
45.07	32
49.37	13
55.99	39
59.72	8
65.64	19
69.06	8
74.60	17